Entry 1:
Starting from DFT lattice parameters and positions (PBE), the PXRD pattern of Cu4HgI7 was simulated for Cu Kα.
Lines closer than 0.1° are merged.

The 12 most intense peaks (2θ from 10° to 80°), by angle:
2θ = 19.00°, intensity 84, hkl 2 2 0; 2θ = 19.65°, intensity 41, hkl 3 1 1; 2θ = 23.15°, intensity 80, hkl 1 1 2; 2θ = 25.36°, intensity 69, hkl 4 2 0; 2θ = 27.31°, intensity 24, hkl 1 3 1; 2θ = 28.68°, intensity 100, hkl 4 0 2; 2θ = 33.07°, intensity 37, hkl 0 4 0; 2θ = 41.00°, intensity 88, hkl 5 3 2; 2θ = 42.90°, intensity 43, hkl 0 0 4; 2θ = 44.35°, intensity 45, hkl 4 4 2; 2θ = 47.45°, intensity 26, hkl 1 5 2; 2θ = 50.51°, intensity 28, hkl 4 2 4

Cell and atoms:
```
data_Cu4HgI7
_space_group_name_H-M_alt 'C m c m'
_space_group_IT_number 63
_space_group_name_Hall '-C 2c 2'
_cell_length_a 18.458
_cell_length_b 10.828
_cell_length_c 8.433
_cell_angle_alpha 90.00
_cell_angle_beta 90.00
_cell_angle_gamma 90.00
loop_
_atom_site_label
_atom_site_type_symbol
_atom_site_fract_x
_atom_site_fract_y
_atom_site_fract_z
Cu1 Cu 0.119 0.162 0.250
Cu2 Cu 0.196 0.500 0.000
Hg1 Hg 0.000 0.243 0.750
I1 I 0.000 0.031 0.250
I2 I 0.117 0.300 0.502
I3 I 0.222 0.004 0.750
```



Entry 2:
Starting from DFT lattice parameters and positions (PBE), the PXRD pattern of HPtI2 was simulated for Cu Kα.
Lines closer than 0.1° are merged.

The 12 most intense peaks (2θ from 10° to 80°), by angle:
2θ = 15.05°, intensity 49, hkl 0 0 1; 2θ = 20.37°, intensity 21, hkl 0 1 0; 2θ = 24.26°, intensity 100, hkl 0 1 1; 2θ = 29.17°, intensity 47, hkl 1 0 1; 2θ = 29.31°, intensity 49, hkl 1 1 -1; 2θ = 38.10°, intensity 24, hkl 1 -1 0; 2θ = 38.25°, intensity 25, hkl 1 2 0; 2θ = 38.46°, intensity 29, hkl 1 1 2; 2θ = 38.55°, intensity 22, hkl 1 0 -2; 2θ = 39.97°, intensity 17, hkl 1 0 2; 2θ = 45.00°, intensity 19, hkl 2 1 0; 2θ = 51.78°, intensity 25, hkl 2 0 -1

Cell and atoms:
```
data_HPtI2
_space_group_name_H-M_alt 'P -1'
_space_group_IT_number 2
_cell_length_a 4.029
_cell_length_b 4.814
_cell_length_c 5.912
_cell_angle_alpha 85.13
_cell_angle_beta 89.82
_cell_angle_gamma 65.47
loop_
_space_group_symop_operation_xyz
'x,y,z'
'-x,-y,-z'
loop_
_atom_site_label
_atom_site_type_symbol
_atom_site_fract_x
_atom_site_fract_y
_atom_site_fract_z
H1 H 0.000 0.000 0.000
Pt1 Pt 0.500 0.000 0.500
I1 I 0.128 0.731 0.756
```



Entry 3:
Starting from DFT lattice parameters and positions (PBE), the PXRD pattern of Nd5Ho2TmTh was simulated for Cu Kα.
Lines closer than 0.1° are merged.

The 12 most intense peaks (2θ from 10° to 80°), by angle:
2θ = 11.68°, intensity 8, hkl 0 2 1; 2θ = 26.58°, intensity 13, hkl 1 3 2; 2θ = 30.48°, intensity 15, hkl 1 1 3; 2θ = 31.39°, intensity 100, hkl 1 5 2; 2θ = 32.70°, intensity 13, hkl 1 3 3; 2θ = 33.11°, intensity 37, hkl 2 0 0; 2θ = 33.80°, intensity 19, hkl 0 0 4; 2θ = 41.74°, intensity 6, hkl 0 10 0; 2θ = 48.04°, intensity 19, hkl 2 0 4; 2θ = 58.07°, intensity 18, hkl 3 5 2; 2θ = 58.95°, intensity 12, hkl 1 5 6; 2θ = 60.78°, intensity 9, hkl 1 13 2

Cell and atoms:
```
data_Nd5Ho2TmTh
_space_group_name_H-M_alt 'C m c m'
_space_group_IT_number 63
_space_group_name_Hall '-C 2c 2'
_cell_length_a 5.411
_cell_length_b 21.639
_cell_length_c 10.607
_cell_angle_alpha 90.00
_cell_angle_beta 90.00
_cell_angle_gamma 90.00
loop_
_atom_site_label
_atom_site_type_symbol
_atom_site_fract_x
_atom_site_fract_y
_atom_site_fract_z
Nd1 Nd 0.000 0.000 0.000
Nd2 Nd 0.000 0.126 0.250
Nd3 Nd 0.000 0.222 0.557
Nd4 Nd 0.000 0.499 0.750
Ho1 Ho 0.000 0.387 0.003
Tm1 Tm 0.000 0.102 0.750
Th1 Th 0.000 0.288 0.250
```



Entry 4:
Starting from DFT lattice parameters and positions (PBE), the PXRD pattern of TbCe2PuS5 was simulated for Cu Kα.
Lines closer than 0.1° are merged.

The 12 most intense peaks (2θ from 10° to 80°), by angle:
2θ = 24.81°, intensity 100, hkl 1 0 2; 2θ = 25.56°, intensity 91, hkl 1 1 0; 2θ = 34.23°, intensity 18, hkl 0 0 4; 2θ = 36.46°, intensity 68, hkl 2 0 0; 2θ = 43.21°, intensity 26, hkl 1 1 4; 2θ = 44.61°, intensity 44, hkl 2 1 2; 2θ = 50.88°, intensity 24, hkl 2 0 4; 2θ = 52.53°, intensity 16, hkl 2 2 0; 2θ = 59.31°, intensity 17, hkl 3 1 0; 2θ = 64.21°, intensity 12, hkl 2 2 4; 2θ = 65.57°, intensity 12, hkl 2 0 6; 2θ = 70.29°, intensity 13, hkl 3 1 4

Cell and atoms:
```
data_TbCe2PuS5
_space_group_name_H-M_alt 'P 4/m m m'
_space_group_IT_number 123
_space_group_name_Hall '-P 4 2'
_cell_length_a 4.927
_cell_length_b 4.927
_cell_length_c 10.478
_cell_angle_alpha 90.00
_cell_angle_beta 90.00
_cell_angle_gamma 90.00
loop_
_atom_site_label
_atom_site_type_symbol
_atom_site_fract_x
_atom_site_fract_y
_atom_site_fract_z
Tb1 Tb 0.000 0.000 0.000
Ce1 Ce 0.500 0.500 0.205
Pu1 Pu 0.000 0.000 0.500
S1 S 0.000 0.000 0.253
S2 S 0.000 0.500 0.000
S3 S 0.500 0.500 0.500
```



Entry 5:
Starting from DFT lattice parameters and positions (PBE), the PXRD pattern of PrGa11Cu was simulated for Cu Kα.
Lines closer than 0.1° are merged.

The 12 most intense peaks (2θ from 10° to 80°), by angle:
2θ = 32.82°, intensity 32, hkl 1 3 1; 2θ = 32.97°, intensity 37, hkl 1 3 -2; 2θ = 33.91°, intensity 25, hkl 2 0 -1; 2θ = 34.74°, intensity 56, hkl 1 1 2; 2θ = 34.97°, intensity 48, hkl 1 1 -3; 2θ = 37.76°, intensity 100, hkl 0 4 2; 2θ = 38.88°, intensity 63, hkl 2 2 0; 2θ = 39.04°, intensity 48, hkl 2 2 -2; 2θ = 41.06°, intensity 62, hkl 1 5 -1; 2θ = 41.79°, intensity 23, hkl 2 0 -3; 2θ = 45.33°, intensity 30, hkl 2 4 -1; 2θ = 61.90°, intensity 21, hkl 1 3 4

Cell and atoms:
```
data_PrGa11Cu
_space_group_name_H-M_alt 'C 1 2/m 1'
_space_group_IT_number 12
_cell_length_a 5.288
_cell_length_b 12.242
_cell_length_c 8.018
_cell_angle_alpha 90.00
_cell_angle_beta 108.81
_cell_angle_gamma 90.00
loop_
_space_group_symop_operation_xyz
'x,y,z'
'-x,-y,-z'
'-x,y,-z'
'x,-y,z'
'x+1/2,y+1/2,z'
'-x+1/2,-y+1/2,-z'
'-x+1/2,y+1/2,-z'
'x+1/2,-y+1/2,z'
loop_
_atom_site_label
_atom_site_type_symbol
_atom_site_fract_x
_atom_site_fract_y
_atom_site_fract_z
Pr1 Pr 0.000 0.000 0.000
Ga1 Ga 0.000 0.000 0.500
Ga2 Ga 0.112 0.391 0.228
Ga3 Ga 0.201 0.176 0.362
Ga4 Ga 0.250 0.250 0.000
Cu1 Cu 0.000 0.500 0.500
```



Entry 6:
Starting from DFT lattice parameters and positions (PBE), the PXRD pattern of CaIn4Ag6 was simulated for Cu Kα.
Lines closer than 0.1° are merged.

The 12 most intense peaks (2θ from 10° to 80°), by angle:
2θ = 14.96°, intensity 42, hkl 1 0 1; 2θ = 25.17°, intensity 48, hkl 2 0 0; 2θ = 29.40°, intensity 33, hkl 2 1 1; 2θ = 30.17°, intensity 44, hkl 2 0 2; 2θ = 35.89°, intensity 71, hkl 2 2 0; 2θ = 37.80°, intensity 61, hkl 1 1 4; 2θ = 39.08°, intensity 39, hkl 3 0 1; 2θ = 40.30°, intensity 27, hkl 3 1 0; 2θ = 42.03°, intensity 100, hkl 2 0 4; 2θ = 43.76°, intensity 46, hkl 3 1 2; 2θ = 53.11°, intensity 23, hkl 3 2 3; 2θ = 69.97°, intensity 25, hkl 5 1 2

Cell and atoms:
```
data_CaIn4Ag6
_space_group_name_H-M_alt 'I -4 2 m'
_space_group_IT_number 121
_space_group_name_Hall 'I -4 2'
_cell_length_a 7.078
_cell_length_b 7.078
_cell_length_c 10.824
_cell_angle_alpha 90.00
_cell_angle_beta 90.00
_cell_angle_gamma 90.00
loop_
_atom_site_label
_atom_site_type_symbol
_atom_site_fract_x
_atom_site_fract_y
_atom_site_fract_z
Ca1 Ca 0.000 0.000 0.000
In1 In 0.172 0.172 0.385
Ag1 Ag 0.000 0.500 0.000
Ag2 Ag 0.230 0.230 0.649
```